For Na2YTl5, a PBE-relaxed structure gives the simulated X-ray powder pattern in this record (CuKα).

Atomic structure:
abc: 6.6475 6.6475 6.6475
angles: 105.78 105.78 117.14
Fractional positions:
Na (0.0000, 0.5000, 0.5000)
Na (0.5000, 0.0000, 0.5000)
Y (0.0003, 0.0003, 0.0000)
Tl (0.9999, 0.9999, 0.4996)
Tl (0.9999, 0.5003, 0.0000)
Tl (0.5003, 0.9999, 0.0000)
Tl (0.4996, 0.4996, 0.0000)
Tl (0.5003, 0.5003, 0.5004)

Main lines, low angle first (10 to 80 degrees two-theta):
| 2θ (°) | d [Å] | I (rel.) |
| --- | --- | --- |
| 15.62 | 5.672 | 15 |
| 22.16 | 4.011 | 24 |
| 31.55 | 2.836 | 62 |
| 34.19 | 2.623 | 100 |
| 45.22 | 2.005 | 23 |
| 52.79 | 1.734 | 12 |
| 57.89 | 1.593 | 49 |
| 62.84 | 1.479 | 17 |
| 72.00 | 1.311 | 14 |
| 76.36 | 1.247 | 13 |